Entry 1:
For HoEr2Mg3CdGa2, a cell relaxed with PBE gives the theoretical powder XRD pattern in this record (CuKα).

The 10 most intense peaks (2θ from 10° to 90°), sorted by position:
Position (°2θ)  d [Å]  I (rel.)  index
20.0  4.441  27  1 0 0
24.3  3.664  16  0 3 1
28.1  3.173  38  0 4 0
31.7  2.826  49  1 0 2
34.7  2.582  100  1 2 2
37.5  2.399  17  0 5 1
40.6  2.220  21  2 0 0
50.1  1.819  16  2 4 0
52.0  1.760  16  0 2 4
56.2  1.636  22  1 2 4

Crystal structure
Unit cell a=4.4407 b=12.7047 c=7.3208 alpha=90.00 beta=90.00 gamma=90.00
Space group Amm2 (No. 38)
One atom of each set of equivalent atoms:
Ho (0.0000, 0.0000, 0.0000)
Er (0.0000, 0.2161, 0.6483)
Mg (0.5000, 0.0000, 0.6820)
Mg (0.5000, 0.1250, 0.3075)
Cd (0.0000, 0.0000, 0.4330)
Ga (0.5000, 0.1670, 0.9322)

Entry 2:
For Er3MgCd2Ga3, a cell relaxed with PBE gives the theoretical powder XRD pattern in this record (CuKα).

The 10 most intense peaks (2θ from 10° to 90°), sorted by position:
Position (°2θ)  d [Å]  I (rel.)  index
24.8  3.597  14  0 3 1
28.6  3.117  20  0 2 2
32.1  2.786  84  1 0 2
35.3  2.544  100  1 4 0
38.2  2.357  41  0 4 2
41.0  2.199  28  2 0 0
43.6  2.078  21  0 3 3
52.9  1.729  16  0 7 1
57.3  1.609  51  1 5 3
69.1  1.360  30  1 7 3

Crystal structure
Unit cell a=4.3981 b=12.4736 c=7.1981 alpha=90.00 beta=90.00 gamma=90.00
Space group Amm2 (No. 38)
One atom of each set of equivalent atoms:
Er (0.0000, 0.0000, 0.0000)
Er (0.0000, 0.2142, 0.6382)
Mg (0.5000, 0.0000, 0.6650)
Cd (0.5000, 0.1247, 0.3026)
Ga (0.0000, 0.0000, 0.4304)
Ga (0.5000, 0.1640, 0.9237)

Entry 3:
For Er2Cd3GaNi2, a cell relaxed with PBE gives the theoretical powder XRD pattern in this record (CuKα).

The 10 most intense peaks (2θ from 10° to 90°), sorted by position:
Position (°2θ)  d [Å]  I (rel.)  index
33.0  2.711  80  1 1 -2
33.3  2.687  100  1 1 2
35.2  2.549  50  3 1 0
37.0  2.431  70  3 1 -1
37.4  2.405  45  3 1 1
39.3  2.293  26  4 0 1
39.7  2.273  32  2 0 -3
40.4  2.231  26  2 0 3
43.6  2.077  58  0 2 0
71.9  1.313  23  7 1 0

Crystal structure
Unit cell a=9.6878 b=4.1550 c=7.6332 alpha=90.00 beta=91.29 gamma=90.00
Space group Cm (No. 8)
One atom of each set of equivalent atoms:
Er (0.0000, 0.0000, 0.0000)
Er (0.1339, 0.0000, 0.5188)
Cd (0.2018, 0.5000, 0.8193)
Cd (0.2162, 0.5000, 0.2152)
Cd (0.4256, 0.0000, 0.3178)
Ga (0.4184, 0.0000, 0.7090)
Ni (0.3003, 0.0000, 0.9985)
Ni (0.3554, 0.5000, 0.5383)

Entry 4:
For ErTm2Cd3Ga3, a cell relaxed with PBE gives the theoretical powder XRD pattern in this record (CuKα).

The 10 most intense peaks (2θ from 10° to 90°), sorted by position:
Position (°2θ)  d [Å]  I (rel.)  index
32.2  2.780  95  1 0 2
35.4  2.538  100  1 2 2
38.2  2.355  50  0 5 1
41.2  2.189  31  2 0 0
43.6  2.076  21  0 3 3
53.0  1.728  14  0 2 4
57.3  1.608  25  1 7 1
57.5  1.603  30  2 5 1
69.1  1.359  18  1 7 3
69.2  1.357  15  1 1 5

Crystal structure
Unit cell a=4.3783 b=12.4706 c=7.1905 alpha=90.00 beta=90.00 gamma=90.00
Space group Amm2 (No. 38)
One atom of each set of equivalent atoms:
Er (0.0000, 0.0000, 0.0000)
Tm (0.0000, 0.2126, 0.3621)
Cd (0.5000, 0.0000, 0.3244)
Cd (0.5000, 0.1251, 0.6996)
Ga (0.0000, 0.0000, 0.5739)
Ga (0.5000, 0.1670, 0.0747)

Entry 5:
For GdErCd4, a cell relaxed with PBE gives the theoretical powder XRD pattern in this record (CuKα).

The 10 most intense peaks (2θ from 10° to 90°), sorted by position:
Position (°2θ)  d [Å]  I (rel.)  index
33.6  2.671  100  1 2 1
36.3  2.474  81  2 0 0
50.3  1.815  31  2 2 2
53.7  1.708  9  0 4 0
63.6  1.463  31  3 2 1
65.3  1.429  9  3 0 3
66.5  1.406  26  2 4 0
86.7  1.123  9  4 2 2
88.9  1.101  6  1 6 1
89.4  1.096  12  3 4 3

Crystal structure
Unit cell a=4.9518 b=6.8324 c=8.5607 alpha=90.00 beta=90.00 gamma=90.00
Space group Imm2 (No. 44)
One atom of each set of equivalent atoms:
Gd (0.0000, 0.0000, 0.0000)
Er (0.0000, 0.5000, 0.9924)
Cd (0.0000, 0.2437, 0.6629)
Cd (0.0000, 0.2536, 0.3296)

Entry 6:
For Gd2Er5Cd, a cell relaxed with PBE gives the theoretical powder XRD pattern in this record (CuKα).

The 10 most intense peaks (2θ from 10° to 90°), sorted by position:
Position (°2θ)  d [Å]  I (rel.)  index
29.3  3.047  24  0 2 2
32.3  2.771  25  2 0 0
33.6  2.670  100  1 0 4
44.2  2.050  16  2 2 2
52.0  1.759  19  0 4 0
58.4  1.580  20  3 0 4
62.5  1.485  22  2 4 0
63.3  1.469  16  1 4 4
82.0  1.175  8  3 4 4
86.2  1.128  9  1 2 10

Crystal structure
Unit cell a=5.5417 b=7.0321 c=12.1969 alpha=90.00 beta=90.00 gamma=90.00
Space group Amm2 (No. 38)
One atom of each set of equivalent atoms:
Gd (0.0000, 0.0000, 0.0000)
Gd (0.5000, 0.0000, 0.3400)
Er (0.0000, 0.0000, 0.5034)
Er (0.0000, 0.2478, 0.7531)
Er (0.5000, 0.2433, 0.5847)
Cd (0.5000, 0.0000, 0.8342)

Entry 7:
For GdEr2Cd4Hg2, a cell relaxed with PBE gives the theoretical powder XRD pattern in this record (CuKα).

The 10 most intense peaks (2θ from 10° to 90°), sorted by position:
Position (°2θ)  d [Å]  I (rel.)  index
31.2  2.869  100  1 0 2
34.0  2.634  38  1 4 0
34.1  2.626  81  1 2 2
36.2  2.483  33  0 5 1
41.1  2.196  46  2 0 0
41.4  2.183  22  0 3 3
41.8  2.162  21  1 5 1
55.9  1.645  19  2 5 1
65.5  1.426  19  1 8 2
68.7  1.366  16  3 0 2

Crystal structure
Unit cell a=4.3937 b=13.1643 c=7.5497 alpha=90.00 beta=90.00 gamma=90.00
Space group Amm2 (No. 38)
One atom of each set of equivalent atoms:
Gd (0.0000, 0.0000, 0.0000)
Er (0.0000, 0.2117, 0.3674)
Cd (0.0000, 0.0000, 0.5738)
Cd (0.5000, 0.0000, 0.3307)
Cd (0.5000, 0.1221, 0.7007)
Hg (0.5000, 0.1685, 0.0791)

Entry 8:
For GdEr2Tl2Cd4, a cell relaxed with PBE gives the theoretical powder XRD pattern in this record (CuKα).

The 10 most intense peaks (2θ from 10° to 90°), sorted by position:
Position (°2θ)  d [Å]  I (rel.)  index
30.7  2.911  75  1 3 1
30.8  2.901  39  1 0 2
33.6  2.664  48  1 4 0
33.8  2.653  100  1 2 2
36.3  2.474  40  0 5 1
36.5  2.460  18  0 1 3
39.5  2.283  47  2 0 0
41.5  2.174  45  0 3 3
54.7  1.678  31  2 5 1
68.0  1.379  19  3 2 2

Crystal structure
Unit cell a=4.5653 b=13.1206 c=7.5131 alpha=90.00 beta=90.00 gamma=90.00
Space group Amm2 (No. 38)
One atom of each set of equivalent atoms:
Gd (0.0000, 0.0000, 0.0000)
Er (0.0000, 0.2140, 0.3589)
Tl (0.5000, 0.1681, 0.0725)
Cd (0.0000, 0.0000, 0.5681)
Cd (0.5000, 0.0000, 0.3311)
Cd (0.5000, 0.1194, 0.6916)